Calculated X-ray powder pattern
Compound: Ga3PdF
Radiation: λ = 1.5418 Å (Cu Kα)
Structure: the GGA-PBE geometry in Alexandria
Peak positions follow from Bragg's law for the DFT cell and can differ from measured ones.

Cell and atoms:
a = 4.804 Å, b = 4.804 Å, c = 4.804 Å
α = 90.00°, β = 90.00°, γ = 90.00°
Space group Pm-3m (No. 221)
One atom of each set of equivalent atoms:
Ga: 0.000 0.000 0.500 [3 per cell]
Pd: 0.000 0.000 0.000 [1 per cell]
F: 0.500 0.500 0.500 [1 per cell]

Peak list (8 most intense, 2θ = 15–90°, sorted by position)
18.47°, I = 100; 32.28°, I = 22; 37.44°, I = 78; 42.06°, I = 49; 53.99°, I = 52; 57.56°, I = 24; 67.54°, I = 17; 82.85°, I = 14

Calculated X-ray powder pattern
Compound: RbGaF3
Radiation: λ = 1.5418 Å (Cu Kα)
Structure: the GGA-PBE geometry in Alexandria
Peak positions follow from Bragg's law for the DFT cell and can differ from measured ones.

Cell and atoms:
a = 6.603 Å, b = 9.830 Å, c = 6.469 Å
α = 90.00°, β = 90.00°, γ = 90.00°
Space group Pnma (No. 62)
One atom of each set of equivalent atoms:
Rb: 0.000 0.000 0.000 [4 per cell]
Ga: 0.026 0.250 0.454 [4 per cell]
F: 0.125 0.107 0.621 [8 per cell]
F: 0.219 0.250 0.217 [4 per cell]

Peak list (8 most intense, 2θ = 15–90°, sorted by position)
26.47°, I = 100; 27.01°, I = 20; 27.58°, I = 17; 38.98°, I = 20; 47.39°, I = 21; 48.09°, I = 16; 54.51°, I = 15; 59.90°, I = 12

Calculated X-ray powder pattern
Compound: RbGaF3
Radiation: λ = 1.5418 Å (Cu Kα)
Structure: the GGA-PBE geometry in Alexandria
Peak positions follow from Bragg's law for the DFT cell and can differ from measured ones.

Cell and atoms:
a = 8.291 Å, b = 14.860 Å, c = 5.344 Å
α = 90.00°, β = 90.00°, γ = 90.00°
Space group Cmce (No. 64)
One atom of each set of equivalent atoms:
Rb: 0.250 0.172 0.250 [8 per cell]
Ga: 0.000 0.046 0.702 [8 per cell]
F: 0.000 0.080 0.055 [8 per cell]
F: 0.000 0.173 0.616 [8 per cell]
F: 0.250 0.054 0.750 [8 per cell]

Peak list (8 most intense, 2θ = 15–90°, sorted by position)
24.59°, I = 64; 29.28°, I = 100; 29.81°, I = 95; 33.54°, I = 37; 42.03°, I = 21; 43.67°, I = 36; 53.44°, I = 36; 57.00°, I = 21